Calculated X-ray powder pattern
Compound: CaTb2CuO5
Radiation: Cu Ka
Structure: a DFT-relaxed cell (PBE, Alexandria)
Neutral-atom scattering factors, no anomalous dispersion.

The 12 most intense peaks (2θ = 10–90°), in order of rising 2θ:
d_spacing  I/Imax  hkl
5.679  76  0 0 1
4.552  21  1 1 0
2.879  40  2 1 0
2.840  43  0 0 2
2.800  85  2 0 1
2.568  100  2 1 1
2.276  17  2 2 0
2.022  71  2 1 2
1.916  28  3 1 1
1.582  21  2 1 3
1.506  24  4 1 1
1.368  20  4 1 2

```
data_CaTb2CuO5
_chemical_formula_sum 'Ca2 Tb4 Cu2 O10'
_symmetry_space_group_name_H-M 'P 4/m b m'
_symmetry_Int_Tables_number 127
_symmetry_space_group_name_Hall '-P 4 2ab'
_cell_length_a 6.438
_cell_length_b 6.438
_cell_length_c 5.679
_cell_angle_alpha 90.00
_cell_angle_beta 90.00
_cell_angle_gamma 90.00
loop_
_atom_site_label
_atom_site_fract_x
_atom_site_fract_y
_atom_site_fract_z
_atom_site_occupancy
Ca1 0.000 0.000 0.000 1
Tb1 0.172 0.328 0.500 1
Cu1 0.000 0.500 0.000 1
O1 0.000 0.000 0.500 1
O2 0.146 0.646 0.242 1
```